Theoretical powder X-ray diffraction pattern of InSiTe4 for Cu Kα, 1.54184 Å, from a PBE-relaxed structure.
Kinematic intensities with the Lorentz-polarization factor, no thermal factor.

Cell and atoms:
a = 7.064 Å, b = 7.105 Å, c = 9.021 Å
α = 90.00°, β = 90.00°, γ = 90.00°
Fractional coordinates of all 12 atoms:
In  0.000  0.000  0.000
In  0.500  0.000  0.500
Si  0.000  0.000  0.500
Si  0.000  0.500  0.000
Te  0.215  0.282  0.150
Te  0.215  0.718  0.850
Te  0.217  0.212  0.652
Te  0.217  0.788  0.348
Te  0.783  0.212  0.348
Te  0.783  0.788  0.652
Te  0.785  0.282  0.850
Te  0.785  0.718  0.150

Peak list (12 most intense, 5 to 70 degrees two-theta, by angle)
2θ (°)  I/Imax  h k l
12.50  25  1 0 0
15.91  20  1 0 1
25.07  13  0 2 0
25.22  13  2 0 0
26.59  100  1 1 2
29.84  16  1 2 1
32.07  13  0 2 2
34.63  14  2 1 2
35.85  35  2 2 0
45.10  15  1 3 2
45.28  16  3 1 2
47.81  25  2 0 4